Record 1
The following is a computed X-ray diffraction stick pattern of PrNpPdS4. It was derived from a structure optimized by DFT (PBE), using copper Kα.
Neutral-atom scattering factors, no anomalous dispersion.

Crystal structure
a b c (Å): 6.918 5.537 8.136
angles (deg): 90.00 110.43 90.00
Space group P2_1/m (No. 11)
Symmetry-distinct sites (fractional):
1 Pr 0.234 0.250 0.443
2 Np 0.234 0.250 0.942
3 Pd 0.276 0.750 0.225
4 S 0.057 0.750 0.389
5 S 0.069 0.750 0.906
6 S 0.457 0.520 0.766

Most intense lines, 15 to 90 degrees two-theta, by angle:
d_spacing, Rel. int.
4.210, 93
3.241, 59
3.211, 100
2.877, 45
2.768, 71
2.671, 57
2.552, 91
2.105, 63
2.081, 54
2.031, 42

=====

Record 2
The following is a computed X-ray diffraction stick pattern of BaLi5Mg. It was derived from a structure optimized by DFT (PBE), using copper Kα.
Neutral-atom scattering factors, no anomalous dispersion.

Crystal structure
a b c (Å): 9.775 6.168 12.250
angles (deg): 90.00 90.00 90.00
Space group Pnma (No. 62)
Symmetry-distinct sites (fractional):
1 Ba 0.238 0.250 0.064
2 Li 0.056 0.750 0.101
3 Li 0.065 0.004 0.310
4 Li 0.100 0.250 0.515
5 Li 0.183 0.250 0.755
6 Mg 0.145 0.750 0.860

Most intense lines, 15 to 90 degrees two-theta, by angle:
d_spacing, Rel. int.
5.509, 26
5.190, 30
4.887, 40
4.799, 100
3.820, 21
3.405, 37
2.922, 29
2.804, 44
2.794, 43
2.608, 25